Entry 1:
Computed XRD peak list of Ca3TbMn4O12 for Cu Kα (λ = 1.5418 Å), from a crystal structure in Alexandria, relaxed with PBE+U.
Lines closer than 0.1° are merged.

Structural model:
```
20
Lattice="5.347 0.000 0.000 0.000 7.596 0.000 -0.020 0.000 5.468" Properties=species:S:1:pos:R:3 pbc="T T T"
Ca 0.000 0.000 0.000
Ca 0.119 3.798 0.531
Ca 2.779 0.000 2.740
Tb 2.662 3.798 3.311
Mn 0.045 1.886 2.993
Mn 0.045 5.710 2.993
Mn 2.743 1.886 0.280
Mn 2.743 5.710 0.280
O 0.482 0.000 3.139
O 1.191 2.283 4.553
O 1.191 5.313 4.553
O 1.646 2.255 1.879
O 1.646 5.341 1.879
O 2.289 0.000 0.380
O 3.173 3.798 0.137
O 3.797 1.630 4.107
O 3.797 5.966 4.107
O 4.318 1.576 1.388
O 4.318 6.020 1.388
O 4.921 3.798 2.880
```

Most intense lines, 2θ from 5° to 70°, sorted by position:
hkl 0 1 0, 11.65°, 7.596 Å, intensity 21; hkl 0 1 1, 20.01°, 4.438 Å, intensity 13; hkl 1 1 -1, 26.09°, 3.415 Å, intensity 21; hkl 0 0 2, 32.76°, 2.734 Å, intensity 23; hkl 1 2 1, 33.25°, 2.694 Å, intensity 100; hkl 2 0 0, 33.52°, 2.674 Å, intensity 24; hkl 2 0 -2, 47.48°, 1.915 Å, intensity 15; hkl 2 0 2, 47.66°, 1.908 Å, intensity 15; hkl 0 4 0, 47.90°, 1.899 Å, intensity 18; hkl 3 2 -1, 59.71°, 1.549 Å, intensity 23



Entry 2:
Computed XRD peak list of Ca2TbMn3O9 for Cu Kα (λ = 1.5418 Å), from a crystal structure in Alexandria, relaxed with PBE+U.
Lines closer than 0.1° are merged.

Structural model:
```
60
Lattice="16.511 0.000 0.000 0.000 7.582 0.000 0.000 0.000 5.357" Properties=species:S:1:pos:R:3 pbc="T T T"
Ca 0.279 1.895 0.073
Ca 3.011 1.895 2.562
Ca 5.244 5.686 5.240
Ca 7.976 5.686 2.752
Ca 8.534 1.895 2.606
Ca 11.266 1.895 0.117
Ca 13.499 5.686 2.796
Ca 16.232 5.686 5.285
Tb 2.429 5.686 2.683
Tb 5.826 1.895 0.004
Tb 10.684 5.686 5.353
Tb 14.082 1.895 2.674
Mn 0.000 0.000 2.679
Mn 0.000 3.791 2.679
Mn 2.771 0.016 5.311
Mn 2.771 3.775 5.311
Mn 5.484 3.807 2.632
Mn 5.484 7.566 2.632
Mn 8.255 0.000 0.000
Mn 8.255 3.791 0.000
Mn 11.027 0.016 2.725
Mn 11.027 3.775 2.725
Mn 13.739 3.807 0.047
Mn 13.739 7.566 0.047
O 0.113 5.686 2.222
O 1.198 4.193 4.187
O 1.198 7.179 4.187
O 1.648 0.262 1.521
O 1.648 3.529 1.521
O 2.608 1.895 4.851
O 2.920 5.686 0.439
O 3.868 4.155 3.668
O 3.868 7.218 3.668
O 4.387 0.364 0.989
O 4.387 3.427 0.989
O 5.336 1.895 3.118
O 5.647 5.686 2.173
O 6.607 4.053 4.199
O 6.607 7.320 4.199
O 7.057 0.403 1.508
O 7.057 3.388 1.508
O 8.142 1.895 4.901
O 8.368 5.686 0.457
O 9.453 4.193 3.849
O 9.453 7.179 3.849
O 9.903 0.262 1.158
O 9.903 3.529 1.158
O 10.864 1.895 3.185
O 11.175 5.686 2.239
O 12.124 4.155 4.368
O 12.124 7.218 4.368
O 12.642 0.364 1.690
O 12.642 3.427 1.690
O 13.591 1.895 4.918
O 13.902 5.686 0.506
O 14.862 4.053 3.837
O 14.862 7.320 3.837
O 15.312 0.403 1.171
O 15.312 3.388 1.171
O 16.397 1.895 3.136
```

Most intense lines, 2θ from 5° to 70°, sorted by position:
hkl 2 1 0, 15.87°, 5.584 Å, intensity 30; hkl 1 1 1, 21.00°, 4.229 Å, intensity 23; hkl 6 0 0, 32.54°, 2.752 Å, intensity 22; hkl 3 2 1, 33.21°, 2.697 Å, intensity 100; hkl 0 0 2, 33.45°, 2.679 Å, intensity 24; hkl 6 0 2, 47.36°, 1.919 Å, intensity 28; hkl 0 4 0, 48.00°, 1.895 Å, intensity 17; hkl 3 2 3, 59.65°, 1.550 Å, intensity 23; hkl 0 4 2, 59.77°, 1.547 Å, intensity 11; hkl 6 4 2, 69.72°, 1.349 Å, intensity 13



Entry 3:
Computed XRD peak list of CaTb2Mn3O9 for Cu Kα (λ = 1.5418 Å), from a crystal structure in Alexandria, relaxed with PBE+U.
Lines closer than 0.1° are merged.

Structural model:
```
60
Lattice="16.861 0.000 0.000 0.000 7.580 0.000 0.000 0.000 5.371" Properties=species:S:1:pos:R:3 pbc="T T T"
Ca 2.488 1.895 0.049
Ca 5.943 5.685 2.734
Ca 10.919 1.895 2.637
Ca 14.374 5.685 5.323
Tb 0.356 5.685 2.761
Tb 3.188 5.685 5.251
Tb 5.242 1.895 2.565
Tb 8.075 1.895 0.075
Tb 8.787 5.685 5.296
Tb 11.619 5.685 2.806
Tb 13.673 1.895 0.121
Tb 16.505 1.895 2.611
Mn 0.000 0.000 0.000
Mn 0.000 3.790 0.000
Mn 2.805 0.007 2.658
Mn 2.805 3.783 2.658
Mn 5.626 3.797 5.343
Mn 5.626 7.573 5.343
Mn 8.431 0.000 2.686
Mn 8.431 3.790 2.686
Mn 11.236 0.007 0.028
Mn 11.236 3.783 0.028
Mn 14.056 3.797 2.714
Mn 14.056 7.573 2.714
O 0.172 1.895 4.836
O 1.075 0.339 1.632
O 1.075 3.451 1.632
O 1.685 4.223 4.250
O 1.685 7.146 4.250
O 2.624 5.685 2.106
O 2.985 1.895 3.148
O 3.968 0.362 1.091
O 3.968 3.428 1.091
O 4.463 4.152 3.776
O 4.463 7.217 3.776
O 5.446 5.685 0.463
O 5.806 1.895 4.791
O 6.746 0.434 1.565
O 6.746 3.356 1.565
O 7.356 4.129 4.318
O 7.356 7.240 4.318
O 8.259 5.685 2.150
O 8.603 1.895 3.221
O 9.506 0.339 1.053
O 9.506 3.451 1.053
O 10.115 4.223 3.807
O 10.115 7.146 3.807
O 11.055 5.685 0.580
O 11.415 1.895 4.909
O 12.398 0.362 1.595
O 12.398 3.428 1.595
O 12.894 4.152 4.281
O 12.894 7.217 4.281
O 13.877 5.685 2.223
O 14.237 1.895 3.266
O 15.177 0.434 1.121
O 15.177 3.356 1.121
O 15.786 4.129 3.739
O 15.786 7.240 3.739
O 16.689 5.685 0.536
```

Most intense lines, 2θ from 5° to 70°, sorted by position:
hkl 2 1 0, 15.72°, 5.637 Å, intensity 18; hkl 3 1 1, 25.78°, 3.456 Å, intensity 19; hkl 6 0 0, 31.83°, 2.811 Å, intensity 23; hkl 3 2 1, 33.03°, 2.712 Å, intensity 100; hkl 0 0 2, 33.36°, 2.686 Å, intensity 25; hkl 6 0 2, 46.78°, 1.942 Å, intensity 24; hkl 0 4 0, 48.02°, 1.895 Å, intensity 17; hkl 6 3 0, 48.41°, 1.880 Å, intensity 18; hkl 9 1 1, 53.17°, 1.723 Å, intensity 16; hkl 3 2 3, 59.41°, 1.556 Å, intensity 22